Entry 1:
This entry pairs a crystal structure of ErTc2 with its simulated powder diffraction line list. Radiation: Cu Ka. Structure: a cell relaxed with PBE.
Lines closer than 0.1° are merged.

Crystal structure
```
data_ErTc2
_chemical_formula_sum 'Er4 Tc8'
_space_group_name_H-M_alt 'P 1'
_space_group_IT_number 1
_space_group_name_Hall 'P 1'
_cell_length_a 5.3534
_cell_length_b 5.3534
_cell_length_c 8.8674
_cell_angle_alpha 90.00
_cell_angle_beta 90.00
_cell_angle_gamma 120.00
loop_
_atom_site_label
_atom_site_type_symbol
_atom_site_fract_x
_atom_site_fract_y
_atom_site_fract_z
_atom_site_occupancy
Er1 Er 0.3333 0.6667 0.0637 1
Er2 Er 0.3333 0.6667 0.4363 1
Er3 Er 0.6667 0.3333 0.5637 1
Er4 Er 0.6667 0.3333 0.9363 1
Tc1 Tc 0.0000 0.0000 0.0000 1
Tc2 Tc 0.0000 0.0000 0.5000 1
Tc3 Tc 0.1716 0.3431 0.7500 1
Tc4 Tc 0.1716 0.8284 0.7500 1
Tc5 Tc 0.3431 0.1716 0.2500 1
Tc6 Tc 0.6569 0.8284 0.7500 1
Tc7 Tc 0.8284 0.1716 0.2500 1
Tc8 Tc 0.8284 0.6569 0.2500 1
```

Largest 6 diffraction maxima, by angle, 2θ from 10° to 80°:
Position (°2θ), intensity
33.5, 46
36.0, 89
39.3, 100
40.2, 70
61.5, 34
66.4, 35

***

Entry 2:
This entry pairs a crystal structure of Sr2Zn3As2O2 with its simulated powder diffraction line list. Radiation: Cu Ka. Structure: a cell relaxed with PBE.
Lines closer than 0.1° are merged.

Crystal structure
```
data_Sr2Zn3As2O2
_chemical_formula_sum 'Sr2 Zn3 As2 O2'
_space_group_name_H-M_alt 'P 1'
_space_group_IT_number 1
_space_group_name_Hall 'P 1'
_cell_length_a 9.9963
_cell_length_b 9.9963
_cell_length_c 9.9963
_cell_angle_alpha 156.15
_cell_angle_beta 156.15
_cell_angle_gamma 33.99
loop_
_atom_site_label
_atom_site_type_symbol
_atom_site_fract_x
_atom_site_fract_y
_atom_site_fract_z
_atom_site_occupancy
Sr1 Sr 0.0850 0.0850 0.0000 1
Sr2 Sr 0.9150 0.9150 0.0000 1
Zn1 Zn 0.2500 0.7500 0.5000 1
Zn2 Zn 0.5000 0.5000 0.0000 1
Zn3 Zn 0.7500 0.2500 0.5000 1
As1 As 0.3317 0.3317 0.0000 1
As2 As 0.6683 0.6683 0.0000 1
O1 O 0.0000 0.5000 0.5000 1
O2 O 0.5000 0.0000 0.5000 1
```

Largest 6 diffraction maxima, by angle, 2θ from 10° to 80°:
Position (°2θ), intensity
31.9, 100
36.0, 54
39.6, 46
43.8, 69
55.2, 41
75.4, 37

***

Entry 3:
This entry pairs a crystal structure of Cu8O with its simulated powder diffraction line list. Radiation: Cu Ka. Structure: a cell relaxed with PBE.
Lines closer than 0.1° are merged.

Crystal structure
```
data_Cu8O
_chemical_formula_sum 'Cu8 O1'
_space_group_name_H-M_alt 'P 1'
_space_group_IT_number 1
_space_group_name_Hall 'P 1'
_cell_length_a 4.4179
_cell_length_b 4.4179
_cell_length_c 5.4366
_cell_angle_alpha 90.00
_cell_angle_beta 90.00
_cell_angle_gamma 91.32
loop_
_atom_site_label
_atom_site_type_symbol
_atom_site_fract_x
_atom_site_fract_y
_atom_site_fract_z
_atom_site_occupancy
Cu1 Cu 0.2242 0.7758 0.2272 1
Cu2 Cu 0.2242 0.7758 0.7728 1
Cu3 Cu 0.2879 0.2879 0.0000 1
Cu4 Cu 0.3118 0.3118 0.5000 1
Cu5 Cu 0.6882 0.6882 0.5000 1
Cu6 Cu 0.7121 0.7121 0.0000 1
Cu7 Cu 0.7758 0.2242 0.2272 1
Cu8 Cu 0.7758 0.2242 0.7728 1
O1 O 0.0000 0.0000 0.5000 1
```

Largest 6 diffraction maxima, by angle, 2θ from 10° to 80°:
Position (°2θ), intensity
40.9, 92
43.9, 100
44.4, 73
46.4, 22
58.4, 18
76.2, 21

***

Entry 4:
This entry pairs a crystal structure of Kr with its simulated powder diffraction line list. Radiation: Cu Ka. Structure: a cell relaxed with PBE.
Lines closer than 0.1° are merged.

Crystal structure
```
data_Kr
_chemical_formula_sum 'Kr4'
_space_group_name_H-M_alt 'P 1'
_space_group_IT_number 1
_space_group_name_Hall 'P 1'
_cell_length_a 6.4965
_cell_length_b 6.4965
_cell_length_c 6.4965
_cell_angle_alpha 90.00
_cell_angle_beta 90.00
_cell_angle_gamma 90.00
loop_
_atom_site_label
_atom_site_type_symbol
_atom_site_fract_x
_atom_site_fract_y
_atom_site_fract_z
_atom_site_occupancy
Kr1 Kr 0.0000 0.0000 0.0000 1
Kr2 Kr 0.0000 0.5000 0.5000 1
Kr3 Kr 0.5000 0.0000 0.5000 1
Kr4 Kr 0.5000 0.5000 0.0000 1
```

Largest 6 diffraction maxima, by angle, 2θ from 10° to 80°:
Position (°2θ), intensity
23.7, 100
27.5, 52
39.2, 39
46.4, 47
62.3, 19
64.1, 17